1.
This entry pairs a crystal structure of Na3PaF8 with its computed PXRD pattern. Radiation: λ = 1.5418 Å (Cu Kα). Structure: a structure optimized by DFT (PBE).
Lines closer than 0.1° are merged.

Largest 8 diffraction maxima, in order of falling intensity, 15 to 90 degrees two-theta:
Position (°2θ), I/Imax, (hkl)
17.98, 100, 1 0 1
28.04, 69, 1 1 2
46.60, 56, 2 2 0
16.11, 33, 0 0 2
44.26, 28, 2 1 3
37.35, 26, 2 1 1
22.79, 26, 1 1 0
29.24, 25, 1 0 3

```
data_Na3PaF8
_chemical_formula_sum 'Na6 Pa2 F16'
_cell_length_a 5.5177
_cell_length_b 5.5177
_cell_length_c 11.0026
_cell_angle_alpha 90.00
_cell_angle_beta 90.00
_cell_angle_gamma 90.00
_space_group_name_H-M_alt 'I 4/m m m'
_space_group_IT_number 139
_space_group_name_Hall '-I 4 2'
loop_
_atom_site_label
_atom_site_type_symbol
_atom_site_fract_x
_atom_site_fract_y
_atom_site_fract_z
Na1 Na 0.0000 0.0000 0.0000
Na2 Na 0.0000 0.5000 0.2500
Pa1 Pa 0.0000 0.0000 0.5000
F1 F 0.2326 0.2326 0.3832
```

---

2.
This entry pairs a crystal structure of Tb2Cd17 with its computed PXRD pattern. Radiation: λ = 1.5418 Å (Cu Kα). Structure: a structure optimized by DFT (PBE).
Lines closer than 0.1° are merged.

Largest 8 diffraction maxima, in order of falling intensity, 15 to 90 degrees two-theta:
Position (°2θ), I/Imax, (hkl)
35.82, 100, 2 2 0
40.23, 35, 2 2 3
36.41, 26, 2 0 5
30.87, 22, 3 0 0
35.96, 21, 0 0 6
31.54, 17, 0 2 4
64.32, 15, 6 0 0
64.56, 14, 0 3 9

```
data_Tb2Cd17
_chemical_formula_sum 'Tb6 Cd51'
_cell_length_a 10.0344
_cell_length_b 10.0344
_cell_length_c 14.9852
_cell_angle_alpha 90.00
_cell_angle_beta 90.00
_cell_angle_gamma 120.00
_space_group_name_H-M_alt 'R -3 m'
_space_group_IT_number 166
_space_group_name_Hall '-R 3 2"'
loop_
_atom_site_label
_atom_site_type_symbol
_atom_site_fract_x
_atom_site_fract_y
_atom_site_fract_z
Tb1 Tb 0.0000 0.0000 0.1712
Cd1 Cd 0.0000 0.0000 0.3983
Cd2 Cd 0.0000 0.3024 0.5000
Cd3 Cd 0.0000 0.5000 0.0000
Cd4 Cd 0.0155 0.5077 0.6466
```